The following is a theoretical powder X-ray diffraction pattern of Tm12NiSn6. It was derived from the GGA-PBE geometry in Alexandria, using Cu Kα.

Peak list (10 most intense, 5 to 70 degrees two-theta, by intensity)
| 2θ (°) | I_rel |
| --- | --- |
| 36.73 | 100 |
| 32.44 | 82 |
| 30.87 | 49 |
| 38.07 | 42 |
| 22.25 | 39 |
| 25.74 | 38 |
| 27.56 | 23 |
| 51.88 | 23 |
| 35.35 | 21 |
| 62.53 | 21 |

Cell and atoms:
```
Tm12NiSn6
1.0
6.4721 3.7367 3.9985
-6.4721 3.7367 3.9985
0.0000 -7.4733 3.9985
Tm Ni Sn
12 1 6
Direct
0.0123 0.6912 0.9449
0.0551 0.9877 0.3088
0.1984 0.4222 0.5536
0.3088 0.0551 0.9877
0.4222 0.5536 0.1984
0.4464 0.8016 0.5778
0.5536 0.1984 0.4222
0.5778 0.4464 0.8016
0.6912 0.9449 0.0123
0.8016 0.5778 0.4464
0.9449 0.0123 0.6912
0.9877 0.3088 0.0551
0.0000 0.0000 0.0000
0.1205 0.6418 0.3121
0.3121 0.1205 0.6418
0.3582 0.6879 0.8795
0.6418 0.3121 0.1205
0.6879 0.8795 0.3582
0.8795 0.3582 0.6879
```

***

The following is a theoretical powder X-ray diffraction pattern of Sr2CaTlCu2O7. It was derived from the GGA-PBE geometry in Alexandria, using Cu Kα.

Peak list (10 most intense, 5 to 70 degrees two-theta, by intensity)
| 2θ (°) | I_rel |
| --- | --- |
| 32.17 | 100 |
| 33.57 | 66 |
| 27.69 | 42 |
| 59.14 | 36 |
| 48.20 | 35 |
| 7.16 | 34 |
| 56.47 | 27 |
| 50.32 | 18 |
| 36.37 | 17 |
| 34.37 | 16 |

Cell and atoms:
```
Sr2CaTlCu2O7
1.0
3.7758 0.0000 0.0000
0.0000 3.7758 0.0000
0.0000 0.0000 12.3511
Sr Ca Tl Cu O
2 1 1 2 7
Direct
0.0000 0.0000 0.2078
0.0000 0.0000 0.7922
0.0000 0.0000 0.5000
0.5000 0.5000 0.0000
0.5000 0.5000 0.3557
0.5000 0.5000 0.6443
0.0000 0.0000 0.0000
0.0000 0.5000 0.3729
0.0000 0.5000 0.6271
0.5000 0.0000 0.3729
0.5000 0.0000 0.6271
0.5000 0.5000 0.1717
0.5000 0.5000 0.8283
```

***

The following is a theoretical powder X-ray diffraction pattern of Ce7FeCl12. It was derived from the GGA-PBE geometry in Alexandria, using Cu Kα.

Peak list (10 most intense, 5 to 70 degrees two-theta, by intensity)
| 2θ (°) | I_rel |
| --- | --- |
| 31.17 | 100 |
| 12.04 | 77 |
| 44.89 | 35 |
| 44.42 | 32 |
| 11.36 | 28 |
| 26.81 | 18 |
| 20.54 | 17 |
| 55.26 | 15 |
| 25.89 | 15 |
| 35.74 | 15 |

Cell and atoms:
```
Ce7FeCl12
1.0
7.3534 4.2455 3.2807
-7.3534 4.2455 3.2807
0.0000 -8.4910 3.2807
Ce Fe Cl
7 1 12
Direct
0.0000 0.0000 0.0000
0.1759 0.3771 0.4672
0.3771 0.4672 0.1759
0.4672 0.1759 0.3771
0.5328 0.8241 0.6229
0.6229 0.5328 0.8241
0.8241 0.6229 0.5328
0.5000 0.5000 0.5000
0.0248 0.3386 0.1187
0.1187 0.0248 0.3386
0.1860 0.7119 0.5783
0.2881 0.4217 0.8140
0.3386 0.1187 0.0248
0.4217 0.8140 0.2881
0.5783 0.1860 0.7119
0.6614 0.8813 0.9752
0.7119 0.5783 0.1860
0.8140 0.2881 0.4217
0.8813 0.9752 0.6614
0.9752 0.6614 0.8813
```

***

The following is a theoretical powder X-ray diffraction pattern of NbSi2. It was derived from the GGA-PBE geometry in Alexandria, using Cu Kα.

Peak list (10 most intense, 5 to 70 degrees two-theta, by intensity)
| 2θ (°) | I_rel |
| --- | --- |
| 39.86 | 100 |
| 25.24 | 68 |
| 46.65 | 63 |
| 40.86 | 35 |
| 34.59 | 30 |
| 68.81 | 19 |
| 69.08 | 19 |
| 43.42 | 17 |
| 37.37 | 15 |
| 61.15 | 12 |

Cell and atoms:
```
NbSi2
1.0
4.8127 0.0000 0.0000
-2.4063 4.1679 0.0000
0.0000 0.0000 6.6251
Nb Si
3 6
Direct
0.0000 0.5000 0.3333
0.5000 0.0000 0.0000
0.5000 0.5000 0.6667
0.1593 0.3187 0.0000
0.1593 0.8407 0.6667
0.3187 0.1593 0.3333
0.6813 0.8407 0.3333
0.8407 0.1593 0.6667
0.8407 0.6813 0.0000
```

***

The following is a theoretical powder X-ray diffraction pattern of Li5CoHN2. It was derived from the GGA-PBE geometry in Alexandria, using Cu Kα.

Peak list (10 most intense, 5 to 70 degrees two-theta, by intensity)
| 2θ (°) | I_rel |
| --- | --- |
| 22.49 | 100 |
| 11.92 | 74 |
| 25.53 | 59 |
| 32.02 | 25 |
| 34.28 | 24 |
| 45.92 | 20 |
| 40.40 | 18 |
| 51.71 | 17 |
| 49.13 | 14 |
| 54.63 | 14 |

Cell and atoms:
```
Li5CoHN2
1.0
3.9526 0.0000 0.0000
0.0000 3.9526 0.0000
0.0000 0.0000 7.4236
Li Co H N
5 1 1 2
Direct
0.0000 0.0000 0.0000
0.0000 0.5000 0.2480
0.0000 0.5000 0.7520
0.5000 0.0000 0.2480
0.5000 0.0000 0.7520
0.0000 0.0000 0.5000
0.5000 0.5000 0.0000
0.0000 0.0000 0.2618
0.0000 0.0000 0.7382
```

***

The following is a theoretical powder X-ray diffraction pattern of La2MgAs3Rh4. It was derived from the GGA-PBE geometry in Alexandria, using Cu Kα.

Peak list (10 most intense, 5 to 70 degrees two-theta, by intensity)
| 2θ (°) | I_rel |
| --- | --- |
| 34.60 | 100 |
| 32.61 | 59 |
| 43.50 | 55 |
| 46.83 | 37 |
| 55.41 | 28 |
| 65.82 | 26 |
| 63.20 | 18 |
| 30.38 | 17 |
| 45.21 | 15 |
| 8.06 | 14 |

Cell and atoms:
```
La2MgAs3Rh4
1.0
4.1613 0.0000 0.0000
0.0000 4.1613 0.0000
0.0000 0.0000 10.9654
La Mg As Rh
2 1 3 4
Direct
0.0000 0.5000 0.2473
0.5000 0.0000 0.7527
0.0000 0.0000 0.5000
0.0000 0.5000 0.8698
0.5000 0.0000 0.1302
0.5000 0.5000 0.5000
0.0000 0.0000 0.0000
0.0000 0.5000 0.6474
0.5000 0.0000 0.3526
0.5000 0.5000 0.0000
```

***

The following is a theoretical powder X-ray diffraction pattern of Y3ScO6. It was derived from the GGA-PBE geometry in Alexandria, using Cu Kα.

Peak list (10 most intense, 5 to 70 degrees two-theta, by intensity)
| 2θ (°) | I_rel |
| --- | --- |
| 29.79 | 100 |
| 24.14 | 44 |
| 32.99 | 40 |
| 30.68 | 40 |
| 43.77 | 33 |
| 50.74 | 30 |
| 42.79 | 25 |
| 53.30 | 20 |
| 26.98 | 18 |
| 48.85 | 15 |

Cell and atoms:
```
Y3ScO6
1.0
4.7604 2.7484 3.6862
-4.7604 2.7484 3.6862
0.0000 -5.4968 3.6862
Y Sc O
6 2 12
Direct
0.0609 0.7527 0.5682
0.2473 0.4318 0.9391
0.4318 0.9391 0.2473
0.5682 0.0609 0.7527
0.7527 0.5682 0.0609
0.9391 0.2473 0.4318
0.0000 0.0000 0.0000
0.5000 0.5000 0.5000
0.0373 0.6942 0.9073
0.0927 0.9627 0.3058
0.1941 0.4310 0.5852
0.3058 0.0927 0.9627
0.4148 0.8059 0.5690
0.4310 0.5852 0.1941
0.5690 0.4148 0.8059
0.5852 0.1941 0.4310
0.6942 0.9073 0.0373
0.8059 0.5690 0.4148
0.9073 0.0373 0.6942
0.9627 0.3058 0.0927
```

***

The following is a theoretical powder X-ray diffraction pattern of Na2CdH4Se2O10. It was derived from the GGA-PBE geometry in Alexandria, using Cu Kα.

Peak list (10 most intense, 5 to 70 degrees two-theta, by intensity)
| 2θ (°) | I_rel |
| --- | --- |
| 25.12 | 100 |
| 27.91 | 73 |
| 13.09 | 66 |
| 22.71 | 58 |
| 31.05 | 58 |
| 25.43 | 56 |
| 30.74 | 54 |
| 27.13 | 52 |
| 40.85 | 50 |
| 20.09 | 42 |

Cell and atoms:
```
Na2CdH4Se2O10
1.0
6.0699 0.0000 0.0000
0.0000 13.5308 0.0000
-1.6304 0.0000 5.7370
Na Cd H Se O
4 2 8 4 20
Direct
0.0901 0.1246 0.2535
0.0901 0.3754 0.7535
0.9099 0.6246 0.2465
0.9099 0.8754 0.7465
0.5000 0.0000 0.0000
0.5000 0.5000 0.5000
0.1815 0.1586 0.8232
0.1815 0.3414 0.3232
0.3998 0.2075 0.9978
0.3998 0.2925 0.4978
0.6002 0.7075 0.5022
0.6002 0.7925 0.0022
0.8185 0.6586 0.6768
0.8185 0.8414 0.1768
0.2642 0.6194 0.9327
0.2642 0.8806 0.4327
0.7358 0.1194 0.5673
0.7358 0.3806 0.0673
0.0471 0.6999 0.8933
0.0471 0.8001 0.3933
0.2218 0.5479 0.6929
0.2218 0.9521 0.1929
0.2410 0.5477 0.1571
0.2410 0.9523 0.6571
0.3029 0.1466 0.9725
0.3029 0.3534 0.4725
0.4804 0.1734 0.5081
0.4804 0.3266 0.0081
0.5196 0.6734 0.9919
0.5196 0.8266 0.4919
0.6971 0.6466 0.5275
0.6971 0.8534 0.0275
0.7590 0.0477 0.3429
0.7590 0.4523 0.8429
0.7782 0.0479 0.8071
0.7782 0.4521 0.3071
0.9529 0.1999 0.6067
0.9529 0.3001 0.1067
```